Entry 1:
Structure and calculated powder XRD pattern of Ba2BeTcN6 (a structure optimized by DFT (PBE); Cu Kα, 1.54184 Å).
No peak broadening, texture or thermal motion is included.

Unit cell a=5.8703 b=5.8703 c=5.8703 alpha=58.30 beta=58.30 gamma=58.30
Element x y z (fractional)
Ba: 0.0000 0.0000 0.0000
Ba: 0.4941 0.4941 0.4941
Be: 0.7796 0.7796 0.7796
Tc: 0.2596 0.2596 0.2596
N: 0.4783 0.4783 0.9859
N: 0.4783 0.9859 0.4783
N: 0.5035 0.9813 0.9813
N: 0.9813 0.5035 0.9813
N: 0.9813 0.9813 0.5035
N: 0.9859 0.4783 0.4783

Main lines, in order of rising 2θ (2θ from 15° to 90°):
2θ (°)  Rel. int.
18.93  27
21.70  32
30.48  100
31.28  95
38.39  26
44.24  57
53.65  19
55.17  37
55.67  19
65.26  18

Entry 2:
Structure and calculated powder XRD pattern of K2Zn2O3 (a structure optimized by DFT (PBE); Cu Kα, 1.54184 Å).
No peak broadening, texture or thermal motion is included.

Unit cell a=5.8841 b=6.2515 c=6.2953 alpha=90.00 beta=114.58 gamma=90.00
Element x y z (fractional)
K: 0.1861 0.1364 0.4275
K: 0.1861 0.3636 0.9275
K: 0.8139 0.6364 0.0725
K: 0.8139 0.8636 0.5725
Zn: 0.3311 0.6147 0.5714
Zn: 0.3311 0.8853 0.0714
Zn: 0.6689 0.1147 0.9286
Zn: 0.6689 0.3853 0.4286
O: 0.0000 0.0000 0.0000
O: 0.0000 0.5000 0.5000
O: 0.4095 0.6352 0.2883
O: 0.4095 0.8648 0.7883
O: 0.5905 0.1352 0.2117
O: 0.5905 0.3648 0.7117

Main lines, in order of rising 2θ (2θ from 15° to 90°):
2θ (°)  Rel. int.
21.04  42
30.74  35
31.25  25
33.61  100
34.46  29
35.12  47
36.53  43
39.80  42
45.69  26
62.04  22